Structure and simulated powder diffractogram of Li9Mn2Co5O16 (a DFT-relaxed cell (GGA+U, the Materials Project); Cu Kα (weighted mean of Kα1 and Kα2)).
Peak positions follow from Bragg's law for the DFT cell and can differ from measured ones.

Atomic structure:
Unit cell a=5.015 b=5.963 c=9.819 alpha=86.10 beta=78.89 gamma=86.18
Fractional positions:
Li 0.000 0.000 0.000
Li 0.000 0.249 0.513
Li 0.008 0.747 0.508
Li 0.010 0.498 0.003
Li 0.501 0.503 0.509
Li 0.506 0.245 0.001
Li 0.513 0.765 0.001
Li 0.517 0.010 0.512
Li 0.757 0.004 0.758
Mn 0.257 0.006 0.257
Mn 0.758 0.748 0.255
Co 0.251 0.756 0.760
Co 0.259 0.499 0.254
Co 0.269 0.246 0.753
Co 0.756 0.255 0.257
Co 0.761 0.500 0.755
O 0.113 0.245 0.142
O 0.121 0.483 0.637
O 0.125 0.734 0.138
O 0.163 0.011 0.652
O 0.367 0.027 0.877
O 0.380 0.489 0.858
O 0.394 0.764 0.374
O 0.398 0.271 0.370
O 0.605 0.258 0.642
O 0.616 0.483 0.139
O 0.622 0.990 0.138
O 0.628 0.731 0.649
O 0.893 0.019 0.376
O 0.893 0.276 0.863
O 0.899 0.511 0.371
O 0.903 0.742 0.869

Largest 10 diffraction maxima, by angle, 2θ from 15° to 90°:
d 4.810, 2θ = 18.45°, rel. 100.0; d 2.616, 2θ = 34.28°, rel. 19.5; d 2.457, 2θ = 36.58°, rel. 12.1; d 2.433, 2θ = 36.95°, rel. 11.0; d 2.189, 2θ = 41.24°, rel. 33.8; d 2.038, 2θ = 44.46°, rel. 26.1; d 2.011, 2θ = 45.09°, rel. 24.9; d 1.497, 2θ = 62.01°, rel. 8.1; d 1.486, 2θ = 62.51°, rel. 15.6; d 1.448, 2θ = 64.35°, rel. 8.9

---

Structure and simulated powder diffractogram of Li2FeO3 (a DFT-relaxed cell (GGA+U, the Materials Project); Cu Kα (weighted mean of Kα1 and Kα2)).
Peak positions follow from Bragg's law for the DFT cell and can differ from measured ones.

Atomic structure:
Unit cell a=5.007 b=5.026 c=5.077 alpha=71.64 beta=79.50 gamma=62.52
Fractional positions:
Li 0.000 0.000 0.000
Li 0.000 0.500 0.500
Li 0.319 0.348 0.002
Li 0.681 0.652 0.998
Fe 0.332 0.828 0.501
Fe 0.668 0.172 0.499
O 0.016 0.766 0.733
O 0.343 0.594 0.270
O 0.366 0.059 0.725
O 0.634 0.941 0.275
O 0.657 0.406 0.730
O 0.984 0.234 0.267

Largest 10 diffraction maxima, by angle, 2θ from 15° to 90°:
d 4.814, 2θ = 18.43°, rel. 100.0; d 4.438, 2θ = 20.01°, rel. 20.2; d 4.300, 2θ = 20.66°, rel. 16.6; d 4.100, 2θ = 21.68°, rel. 19.9; d 3.702, 2θ = 24.04°, rel. 13.7; d 2.580, 2θ = 34.77°, rel. 19.0; d 2.157, 2θ = 41.88°, rel. 43.4; d 2.048, 2θ = 44.23°, rel. 36.1; d 2.027, 2θ = 44.71°, rel. 32.3; d 1.485, 2θ = 62.54°, rel. 19.7

---

Structure and simulated powder diffractogram of Mg2Ta2VO8 (a DFT-relaxed cell (GGA+U, the Materials Project); Cu Kα (weighted mean of Kα1 and Kα2)).
Peak positions follow from Bragg's law for the DFT cell and can differ from measured ones.

Atomic structure:
Unit cell a=10.112 b=10.112 c=5.229 alpha=90.02 beta=90.02 gamma=34.66
Fractional positions:
Mg 0.084 0.370 0.245
Mg 0.370 0.084 0.745
Mg 0.630 0.916 0.255
Mg 0.916 0.630 0.755
Ta 0.220 0.545 0.255
Ta 0.455 0.780 0.245
Ta 0.545 0.220 0.755
Ta 0.780 0.455 0.745
V 0.144 0.856 0.750
V 0.856 0.144 0.250
O 0.045 0.338 0.881
O 0.066 0.812 0.403
O 0.188 0.934 0.097
O 0.210 0.417 0.545
O 0.317 0.537 0.921
O 0.338 0.045 0.381
O 0.417 0.210 0.045
O 0.463 0.683 0.579
O 0.537 0.317 0.421
O 0.583 0.790 0.955
O 0.662 0.955 0.619
O 0.683 0.463 0.079
O 0.790 0.583 0.455
O 0.812 0.066 0.903
O 0.934 0.188 0.597
O 0.955 0.662 0.119

Largest 10 diffraction maxima, by angle, 2θ from 15° to 90°:
d 5.750, 2θ = 15.41°, rel. 33.5; d 4.827, 2θ = 18.38°, rel. 67.8; d 4.398, 2θ = 20.19°, rel. 33.8; d 3.869, 2θ = 22.99°, rel. 85.3; d 3.366, 2θ = 26.48°, rel. 79.0; d 3.251, 2θ = 27.44°, rel. 37.2; d 2.761, 2θ = 32.43°, rel. 100.0; d 2.612, 2θ = 34.34°, rel. 89.3; d 2.297, 2θ = 39.22°, rel. 60.1; d 1.772, 2θ = 51.56°, rel. 76.9

---

Repeat the second record exactly.
Structure and simulated powder diffractogram of Li2FeO3 (a DFT-relaxed cell (GGA+U, the Materials Project); Cu Kα (weighted mean of Kα1 and Kα2)).
Peak positions follow from Bragg's law for the DFT cell and can differ from measured ones.

Atomic structure:
Unit cell a=5.007 b=5.026 c=5.077 alpha=71.64 beta=79.50 gamma=62.52
Fractional positions:
Li 0.000 0.000 0.000
Li 0.000 0.500 0.500
Li 0.319 0.348 0.002
Li 0.681 0.652 0.998
Fe 0.332 0.828 0.501
Fe 0.668 0.172 0.499
O 0.016 0.766 0.733
O 0.343 0.594 0.270
O 0.366 0.059 0.725
O 0.634 0.941 0.275
O 0.657 0.406 0.730
O 0.984 0.234 0.267

Largest 10 diffraction maxima, by angle, 2θ from 15° to 90°:
d 4.814, 2θ = 18.43°, rel. 100.0; d 4.438, 2θ = 20.01°, rel. 20.2; d 4.300, 2θ = 20.66°, rel. 16.6; d 4.100, 2θ = 21.68°, rel. 19.9; d 3.702, 2θ = 24.04°, rel. 13.7; d 2.580, 2θ = 34.77°, rel. 19.0; d 2.157, 2θ = 41.88°, rel. 43.4; d 2.048, 2θ = 44.23°, rel. 36.1; d 2.027, 2θ = 44.71°, rel. 32.3; d 1.485, 2θ = 62.54°, rel. 19.7